Starting from a structure optimized by DFT (PBE+U), the X-ray diffraction stick pattern of MnH4S2O10 was simulated for Cu Kα, 1.54184 Å.

The 10 most intense peaks (5° ≤ 2θ ≤ 70°), by angle:
2θ (°), Rel. int.
13.1, 383
15.6, 1000
22.9, 290
26.1, 107
26.5, 307
26.7, 312
30.2, 166
34.3, 148
36.9, 178
46.8, 102

Atomic structure:
Unit cell a=6.0298 b=7.4935 c=9.9828 alpha=69.05 beta=77.89 gamma=71.75
Space group P-1 (No. 2)
One atom of each set of equivalent atoms:
1 Mn 0.0230 0.4778 0.2515
2 H 0.2025 0.1957 0.8964
3 H 0.2343 0.2041 0.7259
4 H 0.2521 0.1037 0.3306
5 H 0.4190 0.2341 0.2150
6 S 0.1126 0.7412 0.4083
7 S 0.1466 0.7305 0.9229
8 O 0.0836 0.1346 0.0597
9 O 0.1328 0.1489 0.6051
10 O 0.1433 0.5848 0.5569
11 O 0.1691 0.6529 0.7975
12 O 0.1807 0.5452 0.0571
13 O 0.2012 0.6200 0.3030
14 O 0.2336 0.2793 0.7922
15 O 0.2757 0.8606 0.3822
16 O 0.2826 0.2384 0.2938
17 O 0.3456 0.8150 0.8941